(1)
# NdSi2Ir2
Theoretical powder diffractogram, a wavelength of 1.5418 Å. Input: DFT lattice parameters and positions (PBE).
No peak broadening, texture or thermal motion is included.

Structural model:
```
data_NdSi2Ir2
_cell_length_a 4.121
_cell_length_b 4.121
_cell_length_c 10.192
_cell_angle_alpha 90.00
_cell_angle_beta 90.00
_cell_angle_gamma 90.00
_symmetry_space_group_name_H-M 'I 4/m m m'
_symmetry_Int_Tables_number 139
_symmetry_space_group_name_Hall '-I 4 2'
loop_
_atom_site_label
_atom_site_type_symbol
_atom_site_fract_x
_atom_site_fract_y
_atom_site_fract_z
_atom_site_occupancy
Nd1 Nd 0.000 0.000 0.000 1
Si1 Si 0.000 0.000 0.376 1
Ir1 Ir 0.000 0.500 0.250 1
```

Principal peaks in the range 2θ = 5–70°, by angle:
index	d/Å	Rel. int.
0 0 2	5.096	28
1 0 1	3.820	11
1 1 0	2.914	8
1 0 3	2.621	14
0 0 4	2.548	20
1 1 2	2.530	100
2 0 0	2.060	34
1 1 4	1.918	14
2 0 2	1.910	9
2 0 4	1.602	20
1 1 6	1.468	19
2 2 0	1.457	11

=====

(2)
# Zn7Sb2O12
Theoretical powder diffractogram, a wavelength of 1.5418 Å. Input: DFT lattice parameters and positions (PBE).
No peak broadening, texture or thermal motion is included.

Structural model:
```
data_Zn7Sb2O12
_cell_length_a 8.735
_cell_length_b 8.734
_cell_length_c 13.680
_cell_angle_alpha 90.00
_cell_angle_beta 107.03
_cell_angle_gamma 90.00
_symmetry_space_group_name_H-M 'C 1 2/c 1'
_symmetry_Int_Tables_number 15
loop_
_symmetry_equiv_pos_as_xyz
'x,y,z'
'-x,-y,-z'
'-x,y,-z+1/2'
'x,-y,z+1/2'
'x+1/2,y+1/2,z'
'-x+1/2,-y+1/2,-z'
'-x+1/2,y+1/2,-z+1/2'
'x+1/2,-y+1/2,z+1/2'
loop_
_atom_site_label
_atom_site_type_symbol
_atom_site_fract_x
_atom_site_fract_y
_atom_site_fract_z
_atom_site_occupancy
Zn1 Zn 0.000 0.000 0.000 1
Zn2 Zn 0.000 0.140 0.250 1
Zn3 Zn 0.076 0.242 0.660 1
Zn4 Zn 0.157 0.356 0.076 1
Zn5 Zn 0.250 0.250 0.500 1
Sb1 Sb 0.172 0.497 0.835 1
O1 O 0.018 0.231 0.506 1
O2 O 0.073 0.498 0.676 1
O3 O 0.103 0.000 0.171 1
O4 O 0.158 0.267 0.827 1
O5 O 0.174 0.274 0.336 1
O6 O 0.241 0.498 0.988 1
```

Principal peaks in the range 2θ = 5–70°, by angle:
index	d/Å	Rel. int.
1 1 -2	4.994	54
0 2 3	3.086	34
2 0 -4	3.043	18
3 1 0	2.651	100
1 3 1	2.640	25
1 3 -2	2.626	57
3 1 -3	2.612	67
2 2 2	2.543	32
0 4 0	2.182	54
5 1 -1	1.688	19
5 1 -4	1.671	28
4 4 -2	1.543	67

=====

(3)
# La2TiZnO6
Theoretical powder diffractogram, a wavelength of 1.5418 Å. Input: DFT lattice parameters and positions (PBE).
No peak broadening, texture or thermal motion is included.

Structural model:
```
data_La2TiZnO6
_cell_length_a 5.602
_cell_length_b 5.707
_cell_length_c 9.727
_cell_angle_alpha 90.00
_cell_angle_beta 125.11
_cell_angle_gamma 90.00
_symmetry_space_group_name_H-M 'P 1 21/c 1'
_symmetry_Int_Tables_number 14
loop_
_symmetry_equiv_pos_as_xyz
'x,y,z'
'-x,-y,-z'
'-x,y+1/2,-z+1/2'
'x,-y+1/2,z+1/2'
loop_
_atom_site_label
_atom_site_type_symbol
_atom_site_fract_x
_atom_site_fract_y
_atom_site_fract_z
_atom_site_occupancy
La1 La 0.241 0.045 0.251 1
Ti1 Ti 0.000 0.000 0.500 1
Zn1 Zn 0.500 0.000 0.000 1
O1 O 0.147 0.217 0.950 1
O2 O 0.236 0.698 0.954 1
O3 O 0.330 0.026 0.740 1
```

Principal peaks in the range 2θ = 5–70°, by angle:
index	d/Å	Rel. int.
1 1 -1	3.998	13
0 2 0	2.853	22
1 1 1	2.820	100
2 0 -2	2.801	24
2 0 -4	2.290	10
2 2 -2	1.999	25
0 0 4	1.989	15
1 3 -2	1.757	10
1 3 -3	1.641	13
0 2 4	1.632	10
2 0 2	1.621	34
2 2 -6	1.410	13

=====

(4)
# Sb2OsC6O6F12
Theoretical powder diffractogram, a wavelength of 1.5418 Å. Input: DFT lattice parameters and positions (PBE).
No peak broadening, texture or thermal motion is included.

Structural model:
```
data_Sb2OsC6O6F12
_cell_length_a 8.446
_cell_length_b 8.446
_cell_length_c 12.666
_cell_angle_alpha 90.00
_cell_angle_beta 90.00
_cell_angle_gamma 90.00
_symmetry_space_group_name_H-M 'P 4/m n c'
_symmetry_Int_Tables_number 128
_symmetry_space_group_name_Hall '-P 4 2n'
loop_
_atom_site_label
_atom_site_type_symbol
_atom_site_fract_x
_atom_site_fract_y
_atom_site_fract_z
_atom_site_occupancy
Sb1 Sb 0.000 0.500 0.250 1
Os1 Os 0.000 0.000 0.000 1
C1 C 0.000 0.000 0.159 1
C2 C 0.129 0.201 0.000 1
O1 O 0.000 0.000 0.249 1
O2 O 0.185 0.300 0.500 1
F1 F 0.107 0.619 0.142 1
F2 F 0.160 0.340 0.250 1
```

Principal peaks in the range 2θ = 5–70°, by angle:
index	d/Å	Rel. int.
1 0 1	7.027	83
1 1 2	4.345	100
2 0 0	4.223	41
2 1 1	3.619	23
0 0 4	3.167	15
2 2 0	2.986	32
2 0 4	2.533	14
3 1 2	2.461	28
1 0 5	2.427	15
2 2 4	2.172	21
4 2 0	1.888	14
4 2 4	1.622	17

=====

(5)
# Mn5Ni2Bi4
Theoretical powder diffractogram, a wavelength of 1.5418 Å. Input: DFT lattice parameters and positions (PBE).
No peak broadening, texture or thermal motion is included.

Structural model:
```
data_Mn5Ni2Bi4
_cell_length_a 12.031
_cell_length_b 12.031
_cell_length_c 12.031
_cell_angle_alpha 90.00
_cell_angle_beta 90.00
_cell_angle_gamma 90.00
_symmetry_space_group_name_H-M 'F -4 3 m'
_symmetry_Int_Tables_number 216
_symmetry_space_group_name_Hall 'F -4 2 3'
loop_
_atom_site_label
_atom_site_type_symbol
_atom_site_fract_x
_atom_site_fract_y
_atom_site_fract_z
_atom_site_occupancy
Mn1 Mn 0.000 0.000 0.244 1
Mn2 Mn 0.167 0.167 0.833 1
Ni1 Ni 0.128 0.128 0.628 1
Bi1 Bi 0.000 0.000 0.000 1
Bi2 Bi 0.000 0.000 0.500 1
Bi3 Bi 0.039 0.250 0.250 1
```

Principal peaks in the range 2θ = 5–70°, by angle:
index	d/Å	Rel. int.
2 2 2	3.473	86
4 0 0	3.008	72
3 3 1	2.760	33
5 1 1	2.315	64
4 4 0	2.127	100
6 2 2	1.814	30
4 4 4	1.737	13
5 5 1	1.685	12
5 5 3	1.566	19
7 3 3	1.470	18
6 6 0	1.418	11
8 4 0	1.345	13

=====

(6)
# Cu2AsClO4
Theoretical powder diffractogram, a wavelength of 1.5418 Å. Input: DFT lattice parameters and positions (PBE).
No peak broadening, texture or thermal motion is included.

Structural model:
```
data_Cu2AsClO4
_cell_length_a 4.918
_cell_length_b 6.660
_cell_length_c 6.933
_cell_angle_alpha 90.00
_cell_angle_beta 91.83
_cell_angle_gamma 90.00
_symmetry_space_group_name_H-M 'P 1 21/m 1'
_symmetry_Int_Tables_number 11
loop_
_symmetry_equiv_pos_as_xyz
'x,y,z'
'-x,-y,-z'
'-x,y+1/2,-z'
'x,-y+1/2,z'
loop_
_atom_site_label
_atom_site_type_symbol
_atom_site_fract_x
_atom_site_fract_y
_atom_site_fract_z
_atom_site_occupancy
Cu1 Cu 0.000 0.000 0.000 1
Cu2 Cu 0.359 0.250 0.267 1
As1 As 0.492 0.250 0.760 1
Cl1 Cl 0.168 0.750 0.755 1
O1 O 0.238 0.250 0.937 1
O2 O 0.299 0.542 0.200 1
O3 O 0.322 0.250 0.546 1
```

Principal peaks in the range 2θ = 5–70°, by angle:
index	d/Å	Rel. int.
0 0 1	6.929	100
1 0 -1	4.071	60
1 1 0	3.954	28
0 0 2	3.468	67
0 2 0	3.330	40
0 2 1	3.001	28
1 0 -2	2.875	59
1 0 2	2.790	53
1 2 0	2.757	99
0 2 2	2.401	93
2 0 1	2.294	28
0 4 0	1.665	30

=====

Repeat the third record exactly.
# La2TiZnO6
Theoretical powder diffractogram, a wavelength of 1.5418 Å. Input: DFT lattice parameters and positions (PBE).
No peak broadening, texture or thermal motion is included.

Structural model:
```
data_La2TiZnO6
_cell_length_a 5.602
_cell_length_b 5.707
_cell_length_c 9.727
_cell_angle_alpha 90.00
_cell_angle_beta 125.11
_cell_angle_gamma 90.00
_symmetry_space_group_name_H-M 'P 1 21/c 1'
_symmetry_Int_Tables_number 14
loop_
_symmetry_equiv_pos_as_xyz
'x,y,z'
'-x,-y,-z'
'-x,y+1/2,-z+1/2'
'x,-y+1/2,z+1/2'
loop_
_atom_site_label
_atom_site_type_symbol
_atom_site_fract_x
_atom_site_fract_y
_atom_site_fract_z
_atom_site_occupancy
La1 La 0.241 0.045 0.251 1
Ti1 Ti 0.000 0.000 0.500 1
Zn1 Zn 0.500 0.000 0.000 1
O1 O 0.147 0.217 0.950 1
O2 O 0.236 0.698 0.954 1
O3 O 0.330 0.026 0.740 1
```

Principal peaks in the range 2θ = 5–70°, by angle:
index	d/Å	Rel. int.
1 1 -1	3.998	13
0 2 0	2.853	22
1 1 1	2.820	100
2 0 -2	2.801	24
2 0 -4	2.290	10
2 2 -2	1.999	25
0 0 4	1.989	15
1 3 -2	1.757	10
1 3 -3	1.641	13
0 2 4	1.632	10
2 0 2	1.621	34
2 2 -6	1.410	13